Record 1
# ZrIn4Se
Calculated XRD peak list, a wavelength of 1.5418 Å. Input: DFT lattice parameters and positions (GGA-PBE).
Intensities are scaled so that the largest is 100.

Structural model:
Unit cell a=8.3428 b=8.3428 c=8.3428 alpha=90.00 beta=90.00 gamma=90.00
Space group F-43m (No. 216)
Asymmetric unit:
Zr (0.0000, 0.0000, 0.0000) (multiplicity 4)
In (0.1256, 0.1256, 0.6256) (multiplicity 16)
Se (0.2500, 0.2500, 0.2500) (multiplicity 4)

Top 10 peaks for 2θ = 10–90°, low angle first:
| index | d/Å | I/Imax |
| --- | --- | --- |
| 1 1 1 | 4.817 | 17 |
| 2 2 0 | 2.950 | 18 |
| 3 1 1 | 2.515 | 100 |
| 2 2 2 | 2.408 | 51 |
| 4 0 0 | 2.086 | 10 |
| 4 2 2 | 1.703 | 7 |
| 3 3 3 | 1.606 | 32 |
| 4 4 0 | 1.475 | 29 |
| 5 3 3 | 1.272 | 11 |
| 6 2 2 | 1.258 | 18 |

Record 2
# Na2TmHg3
Calculated XRD peak list, a wavelength of 1.5418 Å. Input: DFT lattice parameters and positions (GGA-PBE).
Intensities are scaled so that the largest is 100.

Structural model:
Unit cell a=5.1672 b=15.5062 c=7.5428 alpha=90.00 beta=90.00 gamma=90.00
Space group Cmmm (No. 65)
Asymmetric unit:
Na (0.0000, 0.0000, 0.0000) (multiplicity 2)
Na (0.0000, 0.0000, 0.5000) (multiplicity 2)
Na (0.0000, 0.3345, 0.0000) (multiplicity 4)
Tm (0.0000, 0.3325, 0.5000) (multiplicity 4)
Hg (0.0000, 0.1688, 0.2641) (multiplicity 8)
Hg (0.0000, 0.5000, 0.2611) (multiplicity 4)

Top 10 peaks for 2θ = 10–90°, low angle first:
| index | d/Å | I/Imax |
| --- | --- | --- |
| 0 0 1 | 7.543 | 17 |
| 0 0 2 | 3.771 | 13 |
| 1 3 0 | 3.654 | 26 |
| 1 3 2 | 2.624 | 100 |
| 2 0 0 | 2.584 | 49 |
| 2 0 2 | 2.132 | 12 |
| 2 6 0 | 1.827 | 18 |
| 2 0 4 | 1.523 | 18 |
| 3 3 2 | 1.500 | 36 |
| 2 6 4 | 1.312 | 11 |

Record 3
# Ba3Be
Calculated XRD peak list, a wavelength of 1.5418 Å. Input: DFT lattice parameters and positions (GGA-PBE).
Intensities are scaled so that the largest is 100.

Structural model:
Unit cell a=4.5289 b=4.5289 c=35.4147 alpha=90.00 beta=90.00 gamma=120.00
Space group R-3m (No. 166, hexagonal axes)
Asymmetric unit:
Ba (0.0000, 0.0000, 0.0000) (multiplicity 3)
Ba (0.0000, 0.0000, 0.2229) (multiplicity 6)
Be (0.0000, 0.0000, 0.5000) (multiplicity 3)

Top 10 peaks for 2θ = 10–90°, low angle first:
| index | d/Å | I/Imax |
| --- | --- | --- |
| 0 0 9 | 3.935 | 53 |
| 1 0 1 | 3.898 | 30 |
| 1 0 4 | 3.586 | 100 |
| 0 1 5 | 3.431 | 79 |
| 0 1 8 | 2.936 | 19 |
| 1 1 0 | 2.264 | 39 |
| 1 0 13 | 2.237 | 26 |
| 0 1 14 | 2.126 | 22 |
| 1 1 9 | 1.963 | 47 |
| 1 1 18 | 1.485 | 20 |

Record 4
# Pr3Y8Tm3
Calculated XRD peak list, a wavelength of 1.5418 Å. Input: DFT lattice parameters and positions (GGA-PBE).
Intensities are scaled so that the largest is 100.

Structural model:
Unit cell a=5.6904 b=10.8394 c=15.1069 alpha=90.00 beta=90.00 gamma=90.00
Space group Immm (No. 71)
Asymmetric unit:
Pr (0.0000, 0.0000, 0.0000) (multiplicity 2)
Pr (0.0000, 0.5000, 0.3184) (multiplicity 4)
Y (0.0000, 0.1599, 0.2799) (multiplicity 8)
Y (0.0000, 0.3419, 0.1019) (multiplicity 8)
Tm (0.0000, 0.0000, 0.5000) (multiplicity 2)
Tm (0.0000, 0.2958, 0.5000) (multiplicity 4)

Top 10 peaks for 2θ = 10–90°, low angle first:
| index | d/Å | I/Imax |
| --- | --- | --- |
| 1 2 3 | 3.095 | 22 |
| 1 1 4 | 3.022 | 27 |
| 0 3 3 | 2.936 | 30 |
| 2 0 0 | 2.845 | 49 |
| 1 3 2 | 2.828 | 100 |
| 1 0 5 | 2.668 | 49 |
| 2 3 3 | 2.043 | 21 |
| 3 3 2 | 1.639 | 19 |
| 3 0 5 | 1.606 | 22 |
| 1 6 5 | 1.496 | 12 |

Record 5
# PuMgBi2O6
Calculated XRD peak list, a wavelength of 1.5418 Å. Input: DFT lattice parameters and positions (GGA-PBE).
Intensities are scaled so that the largest is 100.

Structural model:
Unit cell a=5.6819 b=6.0548 c=9.9874 alpha=90.00 beta=124.61 gamma=90.00
Space group P2_1/c (No. 14)
Asymmetric unit:
Pu (0.0000, 0.0000, 0.0000) (multiplicity 2)
Mg (0.5000, 0.0000, 0.5000) (multiplicity 2)
Bi (0.2593, 0.0432, 0.7494) (multiplicity 4)
O (0.1298, 0.0452, 0.2567) (multiplicity 4)
O (0.2394, 0.6847, 0.0594) (multiplicity 4)
O (0.3854, 0.1885, 0.0576) (multiplicity 4)

Top 10 peaks for 2θ = 10–90°, low angle first:
| index | d/Å | I/Imax |
| --- | --- | --- |
| 0 1 1 | 4.875 | 18 |
| 1 0 -2 | 4.673 | 17 |
| 0 2 0 | 3.027 | 25 |
| 1 1 -3 | 2.918 | 100 |
| 2 0 -2 | 2.841 | 27 |
| 2 2 -2 | 2.072 | 20 |
| 0 0 4 | 2.055 | 12 |
| 1 3 -3 | 1.726 | 17 |
| 3 1 -5 | 1.655 | 24 |
| 2 2 2 | 1.459 | 12 |

Record 6
# Ga4AgSe7
Calculated XRD peak list, a wavelength of 1.5418 Å. Input: DFT lattice parameters and positions (GGA-PBE).
Intensities are scaled so that the largest is 100.

Structural model:
Unit cell a=14.7873 b=6.9982 c=6.5620 alpha=90.00 beta=90.00 gamma=90.00
Space group Pmn2_1 (No. 31)
Asymmetric unit:
Ga (0.1271, 0.1667, 0.0000) (multiplicity 4)
Ga (0.2371, 0.6725, 0.9868) (multiplicity 4)
Ag (0.0000, 0.2517, 0.5456) (multiplicity 2)
Se (0.0000, 0.3731, 0.9173) (multiplicity 2)
Se (0.1071, 0.8486, 0.8557) (multiplicity 4)
Se (0.1425, 0.1206, 0.3680) (multiplicity 4)
Se (0.2364, 0.6584, 0.3708) (multiplicity 4)

Top 10 peaks for 2θ = 10–90°, low angle first:
| index | d/Å | I/Imax |
| --- | --- | --- |
| 1 1 0 | 6.326 | 92 |
| 0 0 2 | 3.281 | 91 |
| 4 1 0 | 3.269 | 100 |
| 0 2 1 | 3.088 | 61 |
| 4 1 1 | 2.926 | 69 |
| 3 2 0 | 2.853 | 39 |
| 4 1 2 | 2.316 | 44 |
| 4 3 0 | 1.973 | 60 |
| 0 2 3 | 1.855 | 43 |
| 4 1 3 | 1.818 | 75 |

Record 7
# BeZn2Au
Calculated XRD peak list, a wavelength of 1.5418 Å. Input: DFT lattice parameters and positions (GGA-PBE).
Intensities are scaled so that the largest is 100.

Structural model:
Unit cell a=4.7164 b=4.7594 c=5.0829 alpha=96.10 beta=94.65 gamma=97.50
Space group P-1 (No. 2)
Asymmetric unit:
Be (0.1402, 0.1768, 0.1547) (multiplicity 2)
Zn (0.3811, 0.9720, 0.7435) (multiplicity 2)
Zn (0.5000, 0.5000, 0.0000) (multiplicity 1)
Zn (0.5000, 0.5000, 0.5000) (multiplicity 1)
Au (0.0395, 0.6988, 0.2853) (multiplicity 2)

Top 10 peaks for 2θ = 10–90°, low angle first:
| index | d/Å | I/Imax |
| --- | --- | --- |
| 0 1 -1 | 3.651 | 77 |
| 0 1 1 | 3.243 | 78 |
| 1 1 -1 | 2.819 | 100 |
| 1 1 1 | 2.482 | 75 |
| 2 0 0 | 2.327 | 63 |
| 1 0 -2 | 2.308 | 42 |
| 1 -2 0 | 2.222 | 60 |
| 1 -1 2 | 2.070 | 62 |
| 2 0 1 | 2.039 | 46 |
| 1 2 0 | 1.984 | 68 |

Record 8
# Sr2Li2NpO6
Calculated XRD peak list, a wavelength of 1.5418 Å. Input: DFT lattice parameters and positions (GGA-PBE).
Intensities are scaled so that the largest is 100.

Structural model:
Unit cell a=5.8910 b=5.8910 c=15.8169 alpha=90.00 beta=90.00 gamma=120.00
Space group R-3m (No. 166, hexagonal axes)
Asymmetric unit:
Sr (0.0000, 0.0000, 0.2157) (multiplicity 6)
Li (0.0000, 0.0000, 0.4241) (multiplicity 6)
Np (0.0000, 0.0000, 0.0000) (multiplicity 3)
O (0.0208, 0.5104, 0.7502) (multiplicity 18)

Top 10 peaks for 2θ = 10–90°, low angle first:
| index | d/Å | I/Imax |
| --- | --- | --- |
| 1 0 1 | 4.855 | 100 |
| 1 0 4 | 3.125 | 45 |
| 1 1 0 | 2.946 | 61 |
| 0 1 5 | 2.688 | 48 |
| 0 2 1 | 2.518 | 18 |
| 0 2 4 | 2.144 | 32 |
| 2 0 5 | 1.986 | 21 |
| 2 1 4 | 1.733 | 18 |
| 1 2 5 | 1.647 | 25 |
| 1 1 9 | 1.510 | 25 |

Record 9
# Zr5Pd2Rh
Calculated XRD peak list, a wavelength of 1.5418 Å. Input: DFT lattice parameters and positions (GGA-PBE).
Intensities are scaled so that the largest is 100.

Structural model:
Unit cell a=5.7787 b=11.2707 c=4.7846 alpha=90.00 beta=90.00 gamma=90.00
Space group Pbam (No. 55)
Asymmetric unit:
Zr (0.0000, 0.0000, 0.0000) (multiplicity 2)
Zr (0.1446, 0.3764, 0.5000) (multiplicity 4)
Zr (0.1482, 0.7374, 0.0000) (multiplicity 4)
Pd (0.1353, 0.1168, 0.5000) (multiplicity 4)
Rh (0.0000, 0.5000, 0.0000) (multiplicity 2)

Top 10 peaks for 2θ = 10–90°, low angle first:
| index | d/Å | I/Imax |
| --- | --- | --- |
| 2 2 0 | 2.571 | 12 |
| 0 4 1 | 2.428 | 100 |
| 2 1 1 | 2.416 | 66 |
| 0 0 2 | 2.392 | 50 |
| 2 3 0 | 2.290 | 32 |
| 2 2 1 | 2.265 | 18 |
| 2 3 2 | 1.654 | 23 |
| 0 4 3 | 1.388 | 16 |
| 2 1 3 | 1.386 | 11 |
| 2 7 1 | 1.349 | 13 |

Record 10
# Ba2AlCd6Cu
Calculated XRD peak list, a wavelength of 1.5418 Å. Input: DFT lattice parameters and positions (GGA-PBE).
Intensities are scaled so that the largest is 100.

Structural model:
Unit cell a=7.1654 b=7.1733 c=7.5644 alpha=89.94 beta=61.76 gamma=60.04
Space group P-1 (No. 2)
Asymmetric unit:
Ba (0.0806, 0.2106, 0.1306) (multiplicity 2)
Al (0.5000, 0.5000, 0.0000) (multiplicity 1)
Cd (0.0115, 0.2437, 0.6606) (multiplicity 2)
Cd (0.4153, 0.7569, 0.3395) (multiplicity 2)
Cd (0.4174, 0.3275, 0.3394) (multiplicity 2)
Cu (0.5000, 0.0000, 0.5000) (multiplicity 1)

Top 10 peaks for 2θ = 10–90°, low angle first:
| index | d/Å | I/Imax |
| --- | --- | --- |
| 0 0 1 | 6.339 | 21 |
| 1 0 -1 | 3.244 | 78 |
| 2 1 0 | 3.121 | 25 |
| 2 0 2 | 2.952 | 100 |
| 0 2 -2 | 2.600 | 65 |
| 0 1 2 | 2.489 | 20 |
| 3 2 1 | 2.330 | 31 |
| 3 0 1 | 1.968 | 21 |
| 2 1 4 | 1.821 | 13 |
| 2 -2 2 | 1.793 | 33 |

Copy entry 1 word for word.
# ZrIn4Se
Calculated XRD peak list, a wavelength of 1.5418 Å. Input: DFT lattice parameters and positions (GGA-PBE).
Intensities are scaled so that the largest is 100.

Structural model:
Unit cell a=8.3428 b=8.3428 c=8.3428 alpha=90.00 beta=90.00 gamma=90.00
Space group F-43m (No. 216)
Asymmetric unit:
Zr (0.0000, 0.0000, 0.0000) (multiplicity 4)
In (0.1256, 0.1256, 0.6256) (multiplicity 16)
Se (0.2500, 0.2500, 0.2500) (multiplicity 4)

Top 10 peaks for 2θ = 10–90°, low angle first:
| index | d/Å | I/Imax |
| --- | --- | --- |
| 1 1 1 | 4.817 | 17 |
| 2 2 0 | 2.950 | 18 |
| 3 1 1 | 2.515 | 100 |
| 2 2 2 | 2.408 | 51 |
| 4 0 0 | 2.086 | 10 |
| 4 2 2 | 1.703 | 7 |
| 3 3 3 | 1.606 | 32 |
| 4 4 0 | 1.475 | 29 |
| 5 3 3 | 1.272 | 11 |
| 6 2 2 | 1.258 | 18 |

Please write out number 4 again, unchanged.
# Pr3Y8Tm3
Calculated XRD peak list, a wavelength of 1.5418 Å. Input: DFT lattice parameters and positions (GGA-PBE).
Intensities are scaled so that the largest is 100.

Structural model:
Unit cell a=5.6904 b=10.8394 c=15.1069 alpha=90.00 beta=90.00 gamma=90.00
Space group Immm (No. 71)
Asymmetric unit:
Pr (0.0000, 0.0000, 0.0000) (multiplicity 2)
Pr (0.0000, 0.5000, 0.3184) (multiplicity 4)
Y (0.0000, 0.1599, 0.2799) (multiplicity 8)
Y (0.0000, 0.3419, 0.1019) (multiplicity 8)
Tm (0.0000, 0.0000, 0.5000) (multiplicity 2)
Tm (0.0000, 0.2958, 0.5000) (multiplicity 4)

Top 10 peaks for 2θ = 10–90°, low angle first:
| index | d/Å | I/Imax |
| --- | --- | --- |
| 1 2 3 | 3.095 | 22 |
| 1 1 4 | 3.022 | 27 |
| 0 3 3 | 2.936 | 30 |
| 2 0 0 | 2.845 | 49 |
| 1 3 2 | 2.828 | 100 |
| 1 0 5 | 2.668 | 49 |
| 2 3 3 | 2.043 | 21 |
| 3 3 2 | 1.639 | 19 |
| 3 0 5 | 1.606 | 22 |
| 1 6 5 | 1.496 | 12 |